Starting from a crystal structure in OQMD, relaxed with GGA-PBE, the PXRD pattern of Cu8Ag was simulated for λ = 1.5418 Å (Cu Kα).
Peak positions follow from Bragg's law for the DFT cell and can differ from measured ones.

Structure:
Cell lengths 13.362, 2.655, 7.622 Å; angles 90.00, 123.72, 90.00 degrees
Space group C2/m (No. 12)
Symmetry-distinct sites (fractional):
Cu1 0.059 0.000 0.350
Cu2 0.111 0.500 0.671
Cu3 0.173 0.000 0.002
Cu4 0.226 0.500 0.338
Ag1 0.000 0.500 0.000

Largest 12 diffraction maxima, by angle, 10° ≤ 2θ ≤ 90°:
d/Å  Position (°2θ)  I/Imax  (hkl)
2.133  42.37  100  3 1 -2
2.124  42.57  49  6 0 -1
2.113  42.79  48  0 0 3
1.867  48.78  65  3 1 1
1.792  50.96  28  6 0 -4
1.327  71.01  10  0 2 0
1.295  73.05  17  9 1 -3
1.291  73.36  17  3 1 -5
1.126  86.46  11  6 2 -1
1.124  86.60  11  0 2 3
1.120  87.02  11  9 1 0
1.117  87.32  10  3 1 4



Starting from a crystal structure in OQMD, relaxed with GGA-PBE, the PXRD pattern of Nd2Sm2C2I2BrCl2 was simulated for λ = 1.5418 Å (Cu Kα).
Peak positions follow from Bragg's law for the DFT cell and can differ from measured ones.

Structure:
Cell lengths 19.899, 3.916, 8.193 Å; angles 90.00, 102.28, 90.00 degrees
Space group C2/m (No. 12)
Symmetry-distinct sites (fractional):
Nd1 0.152 0.000 0.101
Sm1 0.000 0.500 0.201
C1 0.036 0.000 0.022
I1 0.168 0.500 0.804
Br1 0.000 0.000 0.500
Cl1 0.146 0.500 0.346

Largest 12 diffraction maxima, by angle, 10° ≤ 2θ ≤ 90°:
d/Å  Position (°2θ)  I/Imax  (hkl)
8.006  11.05  59  0 0 1
3.406  26.16  19  1 1 1
3.241  27.52  67  6 0 0
3.220  27.70  15  3 1 -1
2.977  30.02  15  3 1 1
2.831  31.61  100  1 1 -2
2.739  32.69  26  5 1 -1
2.316  38.89  15  6 0 -3
2.137  42.29  29  7 1 -2
2.127  42.51  39  5 1 2
1.958  46.38  19  0 2 0
1.676  54.78  20  6 2 0



Starting from a crystal structure in OQMD, relaxed with GGA-PBE, the PXRD pattern of InB3W4 was simulated for λ = 1.5418 Å (Cu Kα).
Peak positions follow from Bragg's law for the DFT cell and can differ from measured ones.

Structure:
Cell lengths 3.1436, 3.1436, 24.6400 Å; angles 90.00, 90.00, 120.00 degrees
Space group P6_3/mmc (No. 194)
Symmetry-distinct sites (fractional):
In1 0.3333 0.6667 0.2500
B1 0.0000 0.0000 0.0000
B2 0.3333 0.6667 0.6068
W1 0.0000 0.0000 0.1536
W2 0.3333 0.6667 0.0549

Largest 12 diffraction maxima, by angle, 10° ≤ 2θ ≤ 90°:
d/Å  Position (°2θ)  I/Imax  (hkl)
2.706  33.11  28  1 0 1
2.658  33.72  28  1 0 2
2.584  34.71  15  1 0 3
2.490  36.07  70  1 0 4
2.464  36.46  58  0 0 10
2.383  37.75  87  1 0 5
2.269  39.72  100  1 0 6
1.730  52.93  17  1 0 11
1.572  58.74  52  1 1 0
1.340  70.22  23  1 0 16
1.325  71.15  51  1 1 10
1.292  73.26  17  2 0 6



Starting from a crystal structure in OQMD, relaxed with GGA-PBE, the PXRD pattern of DyHoPd2 was simulated for λ = 1.5418 Å (Cu Kα).
Peak positions follow from Bragg's law for the DFT cell and can differ from measured ones.

Structure:
Cell lengths 4.475, 5.662, 6.876 Å; angles 90.00, 90.00, 90.00 degrees
Space group Pmc2_1 (No. 26)
Symmetry-distinct sites (fractional):
Dy1 0.000 0.108 0.000
Ho1 0.500 0.392 0.362
Pd1 0.000 0.405 0.638
Pd2 0.500 0.096 0.724

Largest 12 diffraction maxima, by angle, 10° ≤ 2θ ≤ 90°:
d/Å  Position (°2θ)  I/Imax  (hkl)
3.127  28.55  44  1 1 1
2.726  32.85  85  1 0 2
2.618  34.25  69  0 2 1
2.456  36.58  100  1 1 2
2.260  39.90  84  1 2 1
2.237  40.31  56  2 0 0
2.125  42.55  26  0 1 3
1.701  53.91  38  2 2 1
1.645  55.90  24  0 1 4
1.541  60.05  19  2 1 3
1.325  71.15  28  2 1 4
1.221  78.31  22  2 3 3